No. 1
For Pu5TcGe3, a crystal structure in Alexandria, relaxed with PBE gives the computed XRD peak list in this record (Cu Kα (λ = 1.5418 Å)).
No peak broadening, texture or thermal motion is included.

Most intense lines, 2θ = 10–90°, by angle:
2θ 27.17, intensity 25; 2θ 32.36, intensity 94; 2θ 33.65, intensity 41; 2θ 34.27, intensity 100; 2θ 37.77, intensity 26; 2θ 50.34, intensity 20; 2θ 53.61, intensity 33; 2θ 68.36, intensity 21

Structure:
a b c (Å): 9.017 9.017 9.017
angles (deg): 130.62 130.62 72.41
Atoms (fractional coordinates):
Pu1 0.000 0.000 0.000
Pu2 0.045 0.545 0.878
Pu3 0.166 0.045 0.500
Pu4 0.334 0.834 0.878
Pu5 0.455 0.334 0.500
Pu6 0.500 0.500 0.000
Pu7 0.545 0.666 0.500
Pu8 0.666 0.166 0.122
Pu9 0.834 0.955 0.500
Pu10 0.955 0.455 0.122
Tc1 0.250 0.750 0.500
Tc2 0.750 0.250 0.500
Ge1 0.117 0.383 0.500
Ge2 0.250 0.250 0.000
Ge3 0.383 0.883 0.266
Ge4 0.617 0.117 0.734
Ge5 0.750 0.750 0.000
Ge6 0.883 0.617 0.500

---

No. 2
For Pu3TcGe5, a crystal structure in Alexandria, relaxed with PBE gives the computed XRD peak list in this record (Cu Kα (λ = 1.5418 Å)).
No peak broadening, texture or thermal motion is included.

Most intense lines, 2θ = 10–90°, by angle:
2θ 24.11, intensity 26; 2θ 26.13, intensity 86; 2θ 31.46, intensity 29; 2θ 35.84, intensity 100; 2θ 36.51, intensity 86; 2θ 38.04, intensity 98; 2θ 47.17, intensity 50; 2θ 58.89, intensity 24

Structure:
a b c (Å): 8.525 8.525 5.688
angles (deg): 90.00 90.00 120.00
Atoms (fractional coordinates):
Pu1 0.000 0.389 0.250
Pu2 0.000 0.611 0.750
Pu3 0.389 0.000 0.250
Pu4 0.389 0.389 0.750
Pu5 0.611 0.000 0.750
Pu6 0.611 0.611 0.250
Tc1 0.000 0.000 0.000
Tc2 0.000 0.000 0.500
Ge1 0.000 0.255 0.750
Ge2 0.000 0.745 0.250
Ge3 0.255 0.000 0.750
Ge4 0.255 0.255 0.250
Ge5 0.333 0.667 0.000
Ge6 0.333 0.667 0.500
Ge7 0.667 0.333 0.000
Ge8 0.667 0.333 0.500
Ge9 0.745 0.000 0.250
Ge10 0.745 0.745 0.750

---

No. 3
For Pu2ZnTcGe6, a crystal structure in Alexandria, relaxed with PBE gives the computed XRD peak list in this record (Cu Kα (λ = 1.5418 Å)).
No peak broadening, texture or thermal motion is included.

Most intense lines, 2θ = 10–90°, by angle:
2θ 28.62, intensity 79; 2θ 29.96, intensity 100; 2θ 35.52, intensity 79; 2θ 37.67, intensity 65; 2θ 41.91, intensity 40; 2θ 46.24, intensity 30; 2θ 48.01, intensity 33; 2θ 59.25, intensity 31

Structure:
a b c (Å): 12.457 12.457 12.457
angles (deg): 29.00 29.00 29.00
Atoms (fractional coordinates):
Pu1 0.109 0.109 0.109
Pu2 0.295 0.295 0.295
Pu3 0.705 0.705 0.705
Pu4 0.891 0.891 0.891
Zn1 0.428 0.428 0.428
Zn2 0.572 0.572 0.572
Tc1 0.000 0.000 0.000
Tc2 0.500 0.500 0.500
Ge1 0.063 0.667 0.667
Ge2 0.229 0.229 0.659
Ge3 0.229 0.659 0.229
Ge4 0.333 0.333 0.937
Ge5 0.333 0.937 0.333
Ge6 0.341 0.771 0.771
Ge7 0.659 0.229 0.229
Ge8 0.667 0.063 0.667
Ge9 0.667 0.667 0.063
Ge10 0.771 0.341 0.771
Ge11 0.771 0.771 0.341
Ge12 0.937 0.333 0.333